# Rb2PdI2Br4
Computed powder X-ray diffraction pattern, Cu Kα. Input: a structure optimized by DFT (PBE).
Kinematic intensities with the Lorentz-polarization factor, no thermal factor.

Crystal structure
Cell lengths 8.5310, 8.5310, 9.0191 Å; angles 90.00, 90.00, 90.00 degrees
Space group I4/mmm (No. 139)
Symmetry-distinct sites (fractional):
Rb1 0.0000 0.5000 0.2500 [4 per cell]
Pd1 0.0000 0.0000 0.0000 [2 per cell]
I1 0.0000 0.0000 0.3398 [4 per cell]
Br1 0.2057 0.2057 0.0000 [8 per cell]

Peak list (10 most intense, 2θ from 10° to 80°, sorted by position)
Position (°2θ)  I_rel  index
14.68  41  1 1 0
20.83  26  2 0 0
24.65  22  1 1 2
28.81  74  2 0 2
29.62  100  2 2 0
31.55  57  1 0 3
38.11  27  2 1 3
42.38  29  4 0 0
48.99  52  3 2 3
62.60  23  5 0 3